The following is a theoretical powder diffractogram of KNbCl6. It was derived from a crystal structure in the Materials Project, relaxed with PBE, using Cu Ka.
Peak positions follow from Bragg's law for the DFT cell and can differ from measured ones.

Main lines, by intensity (10 to 80 degrees two-theta):
- 2θ = 14.8°, intensity 100
- 2θ = 17.0°, intensity 92
- 2θ = 34.4°, intensity 87
- 2θ = 14.3°, intensity 64
- 2θ = 28.4°, intensity 36
- 2θ = 29.9°, intensity 28
- 2θ = 38.2°, intensity 28
- 2θ = 50.0°, intensity 28
- 2θ = 48.7°, intensity 21
- 2θ = 38.9°, intensity 17

Structural model:
```
data_KNbCl6
_chemical_formula_sum 'K3 Nb3 Cl18'
_symmetry_space_group_name_H-M 'R 3 m'
_symmetry_Int_Tables_number 160
_symmetry_space_group_name_Hall 'R 3 -2"'
_cell_length_a 7.2950
_cell_length_b 7.2950
_cell_length_c 18.5443
_cell_angle_alpha 90.00
_cell_angle_beta 90.00
_cell_angle_gamma 120.00
loop_
_atom_site_label
_atom_site_type_symbol
_atom_site_fract_x
_atom_site_fract_y
_atom_site_fract_z
K1 K 0.0000 0.0000 0.0000
Nb1 Nb 0.0000 0.0000 0.7146
Cl1 Cl 0.0273 0.5136 0.4566
Cl2 Cl 0.1790 0.3580 0.3079
```